No. 1
For LiZn3Ni4, the GGA-PBE geometry in Alexandria gives the calculated powder diffraction line list in this record (Cu Ka).

```
data_LiZn3Ni4
_cell_length_a 3.3626
_cell_length_b 3.7590
_cell_length_c 7.5227
_cell_angle_alpha 90.00
_cell_angle_beta 90.00
_cell_angle_gamma 90.00
_symmetry_space_group_name_H-M 'P m m m'
_symmetry_Int_Tables_number 47
loop_
_symmetry_equiv_pos_as_xyz
'x,y,z'
'-x,-y,-z'
'-x,-y,z'
'x,y,-z'
'x,-y,-z'
'-x,y,z'
'-x,y,-z'
'x,-y,z'
loop_
_atom_site_label
_atom_site_fract_x
_atom_site_fract_y
_atom_site_fract_z
Li1 0.0000 0.0000 0.0000
Zn1 0.0000 0.0000 0.5000
Zn2 0.0000 0.5000 0.2432
Ni1 0.5000 0.0000 0.2500
Ni2 0.5000 0.5000 0.0000
Ni3 0.5000 0.5000 0.5000
```

Main lines, sorted by position (2θ from 10° to 80°):
Position (°2θ)	Rel. int.	hkl
11.8	10	0 0 1
43.4	100	1 1 2
48.4	35	0 2 0
54.6	13	2 0 0
70.9	10	0 2 4
75.9	17	2 2 0

No. 2
For Sr2InHgH, the GGA-PBE geometry in Alexandria gives the calculated powder diffraction line list in this record (Cu Ka).

```
data_Sr2InHgH
_cell_length_a 5.4141
_cell_length_b 5.4141
_cell_length_c 4.4400
_cell_angle_alpha 90.00
_cell_angle_beta 90.00
_cell_angle_gamma 90.00
_symmetry_space_group_name_H-M 'P 4/m m m'
_symmetry_Int_Tables_number 123
_symmetry_space_group_name_Hall '-P 4 2'
loop_
_atom_site_label
_atom_site_fract_x
_atom_site_fract_y
_atom_site_fract_z
Sr1 0.0000 0.5000 0.0000
In1 0.0000 0.0000 0.5000
Hg1 0.5000 0.5000 0.5000
H1 0.5000 0.5000 0.0000
```

Main lines, sorted by position (2θ from 10° to 80°):
Position (°2θ)	Rel. int.	hkl
30.8	100	1 1 1
33.1	42	2 0 0
47.5	15	2 2 0
53.4	21	2 0 2
57.7	34	3 1 1
64.3	12	2 2 2

No. 3
For NaMnAlNi2, the GGA-PBE geometry in Alexandria gives the calculated powder diffraction line list in this record (Cu Ka).

```
data_NaMnAlNi2
_cell_length_a 4.3904
_cell_length_b 4.3904
_cell_length_c 4.8665
_cell_angle_alpha 90.00
_cell_angle_beta 90.00
_cell_angle_gamma 90.00
_symmetry_space_group_name_H-M 'P 4/m m m'
_symmetry_Int_Tables_number 123
_symmetry_space_group_name_Hall '-P 4 2'
loop_
_atom_site_label
_atom_site_fract_x
_atom_site_fract_y
_atom_site_fract_z
Na1 0.0000 0.0000 0.0000
Mn1 0.5000 0.5000 0.0000
Al1 0.0000 0.0000 0.5000
Ni1 0.0000 0.5000 0.5000
```

Main lines, sorted by position (2θ from 10° to 80°):
Position (°2θ)	Rel. int.	hkl
18.2	22	0 0 1
34.3	100	1 1 1
36.9	34	0 0 2
41.1	49	2 0 0
56.5	36	2 0 2
70.5	20	3 1 1